No. 1
For K2Si4O9, a cell relaxed with PBE gives the simulated powder XRD pattern in this record (Cu Ka).

Principal peaks in the range 15 to 90 degrees two-theta, most intense first:
| h k l | 2θ (°) | I (rel.) |
| --- | --- | --- |
| 1 1 1 | 20.68 | 1000 |
| 2 0 0 | 35.77 | 964 |
| -1 2 2 | 28.80 | 957 |
| 1 0 1 | 19.24 | 878 |
| -1 1 1 | 21.08 | 674 |
| 0 0 4 | 30.62 | 667 |
| 0 1 -1 | 15.34 | 657 |
| 0 2 -2 | 30.97 | 639 |

Cell and atoms:
```
data_K2Si4O9
_cell_length_a 5.0216
_cell_length_b 8.5436
_cell_length_c 12.4074
_cell_angle_alpha 70.28
_cell_angle_beta 89.66
_cell_angle_gamma 88.69
_symmetry_space_group_name_H-M 'P -1'
_symmetry_Int_Tables_number 2
_symmetry_space_group_name_Hall '-P 1'
loop_
_atom_site_label
_atom_site_type_symbol
_atom_site_fract_x
_atom_site_fract_y
_atom_site_fract_z
K1 K 0.2352 0.4329 0.1353
K2 K 0.2527 0.9000 0.6554
Si1 Si 0.2110 0.9400 0.1458
Si2 Si 0.2148 0.7022 0.4011
Si3 Si 0.2771 0.3172 0.4469
Si4 Si 0.2904 0.8331 0.9374
O1 O 0.0866 0.2575 0.5638
O2 O 0.0970 0.9922 0.8602
O3 O 0.2333 0.2196 0.3611
O4 O 0.2348 0.5209 0.3854
O5 O 0.2437 0.8098 0.0751
O6 O 0.2497 0.6673 0.9104
O7 O 0.2889 0.8434 0.2796
O8 O 0.4021 0.0991 0.0947
O9 O 0.4152 0.7170 0.4999
```


No. 2
For Pr2HoTl2Ag2, a cell relaxed with PBE gives the simulated powder XRD pattern in this record (Cu Ka).

Principal peaks in the range 15 to 90 degrees two-theta, most intense first:
| h k l | 2θ (°) | I (rel.) |
| --- | --- | --- |
| 1 1 0 | 36.63 | 1000 |
| 0 1 8 | 33.29 | 985 |
| 1 0 7 | 30.80 | 390 |
| 2 0 8 | 50.32 | 307 |
| 1 2 8 | 63.83 | 299 |
| 1 1 15 | 62.80 | 243 |
| 3 0 0 | 65.94 | 178 |
| 1 1 6 | 41.61 | 155 |

Cell and atoms:
```
data_Pr2HoTl2Ag2
_cell_length_a 4.9070
_cell_length_b 4.9070
_cell_length_c 27.8227
_cell_angle_alpha 90.00
_cell_angle_beta 90.00
_cell_angle_gamma 120.00
_symmetry_space_group_name_H-M 'R -3 m'
_symmetry_Int_Tables_number 166
_symmetry_space_group_name_Hall '-R 3 2"'
loop_
_atom_site_label
_atom_site_type_symbol
_atom_site_fract_x
_atom_site_fract_y
_atom_site_fract_z
Pr1 Pr 0.0000 0.0000 0.1242
Ho1 Ho 0.0000 0.0000 0.0000
Tl1 Tl 0.0000 0.0000 0.2640
Ag1 Ag 0.0000 0.0000 0.3873
```